Na3B5C: theoretical PXRD pattern (Cu Kα (λ = 1.5418 Å)), based on a crystal structure in Alexandria, relaxed with GGA-PBE.

Largest 8 diffraction maxima, by angle, 2θ = 5–70°:
index, 2θ (°), d/Å, I (rel.)
0 0 1, 10.31, 8.577, 1
0 0 2, 20.71, 4.289, 2
1 1 0, 34.97, 2.566, 20
1 1 2, 40.99, 2.202, 100
0 0 4, 42.14, 2.144, 24
1 1 4, 55.88, 1.645, 10
3 0 0, 62.71, 1.481, 18
3 0 2, 66.81, 1.400, 2

Structural model:
```
data_Na3B5C
_cell_length_a 5.132
_cell_length_b 5.132
_cell_length_c 8.577
_cell_angle_alpha 90.00
_cell_angle_beta 90.00
_cell_angle_gamma 120.00
_symmetry_space_group_name_H-M 'P 1'
_symmetry_Int_Tables_number 1
_symmetry_space_group_name_Hall 'P 1'
loop_
_atom_site_label
_atom_site_fract_x
_atom_site_fract_y
_atom_site_fract_z
Na1 0.000 0.334 0.249
Na2 0.000 0.334 0.751
Na3 0.334 0.000 0.249
Na4 0.334 0.000 0.751
Na5 0.666 0.666 0.249
Na6 0.666 0.666 0.751
B1 0.000 0.000 0.000
B2 0.000 0.000 0.500
B3 0.000 0.651 0.000
B4 0.000 0.666 0.500
B5 0.333 0.667 0.500
B6 0.334 0.334 0.500
B7 0.349 0.349 0.000
B8 0.651 0.000 0.000
B9 0.666 0.000 0.500
B10 0.667 0.333 0.500
C1 0.333 0.667 0.000
C2 0.667 0.333 0.000
```